Structure and calculated XRD peak list of CaCuBiO5 (a structure optimized by DFT (GGA-PBE); λ = 1.5418 Å (Cu Kα)).
Intensities are scaled so that the largest is 100.

Main lines, low angle first (2θ from 10° to 80°):
2θ (°)	Rel. int.
16.13	100
19.76	29
24.03	24
24.30	19
26.46	44
27.11	61
32.54	27
33.59	17
35.23	20
39.61	18

Structural model:
```
data_CaCuBiO5
_chemical_formula_sum 'Ca4 Cu4 Bi4 O20'
_cell_length_a 5.6174
_cell_length_b 11.0146
_cell_length_c 7.9417
_cell_angle_alpha 90.00
_cell_angle_beta 102.02
_cell_angle_gamma 90.00
_symmetry_space_group_name_H-M 'P 1 21/c 1'
_symmetry_Int_Tables_number 14
_symmetry_space_group_name_Hall '-P 2ybc'
loop_
_atom_site_label
_atom_site_fract_x
_atom_site_fract_y
_atom_site_fract_z
Ca1 0.0318 0.0956 0.2112
Cu1 0.3609 0.6409 0.0331
Bi1 0.4954 0.6001 0.6590
O1 0.2231 0.5827 0.8151
O2 0.2582 0.0360 0.0016
O3 0.2676 0.7075 0.4620
O4 0.2747 0.5019 0.1442
O5 0.3949 0.2115 0.2981
```